The following is a simulated powder diffractogram of TmFe2B2O6. It was derived from DFT lattice parameters and positions (PBE+U), using Cu Kα.

Main lines, by intensity (5° ≤ 2θ ≤ 70°):
Position (°2θ), I (rel.), hkl
23.94, 100.0, 0 1 1
32.19, 76.8, 1 0 2
12.19, 67.2, 0 0 1
35.94, 32.4, 1 1 0
52.66, 26.5, 1 1 3
43.65, 26.3, 2 0 1
57.78, 21.8, 1 2 1
49.01, 19.3, 0 2 2
62.26, 18.8, 3 -1 2
38.09, 15.6, 2 -1 1

```
data_TmFe2B2O6
_space_group_name_H-M_alt 'P -3'
_space_group_IT_number 147
_space_group_name_Hall '-P 3'
_cell_length_a 4.9971
_cell_length_b 4.9971
_cell_length_c 7.2578
_cell_angle_alpha 90.00
_cell_angle_beta 90.00
_cell_angle_gamma 120.00
loop_
_atom_site_label
_atom_site_type_symbol
_atom_site_fract_x
_atom_site_fract_y
_atom_site_fract_z
Tm1 Tm 0.0000 0.0000 0.0000
Fe1 Fe 0.3333 0.6667 0.3030
B1 B 0.3333 0.6667 0.8081
O1 O 0.0615 0.6774 0.8114
```